Structure and simulated powder XRD pattern of Y2Se (a structure optimized by DFT (GGA-PBE); Cu Kα X-rays).
Peak positions follow from Bragg's law for the DFT cell and can differ from measured ones.

Main lines, sorted by position (2θ = 15–90°):
| (hkl) | Position (°2θ) | I/Imax |
| --- | --- | --- |
| 1 2 1 | 27.49 | 45 |
| 0 4 2 | 28.38 | 100 |
| 0 0 4 | 29.41 | 55 |
| 1 2 2 | 30.35 | 81 |
| 1 3 1 | 30.72 | 37 |
| 0 4 3 | 32.93 | 37 |
| 1 4 0 | 33.97 | 60 |
| 1 2 3 | 34.65 | 32 |
| 1 3 3 | 37.33 | 52 |
| 1 3 4 | 42.37 | 31 |
| 2 0 0 | 48.05 | 44 |
| 1 3 5 | 48.22 | 33 |

Crystal structure
```
data_Y2Se
_chemical_formula_sum 'Y16 Se8'
_cell_length_a 3.787
_cell_length_b 14.717
_cell_length_c 12.146
_cell_angle_alpha 90.00
_cell_angle_beta 90.00
_cell_angle_gamma 90.00
_space_group_name_H-M_alt 'P m c 21'
_space_group_IT_number 26
loop_
_space_group_symop_operation_xyz
'x,y,z'
'-x,-y,z+1/2'
'-x,y,z'
'x,-y,z+1/2'
loop_
_atom_site_label
_atom_site_fract_x
_atom_site_fract_y
_atom_site_fract_z
Y1 0.000 0.003 0.009
Y2 0.000 0.155 0.723
Y3 0.000 0.237 0.444
Y4 0.000 0.477 0.970
Y5 0.500 0.090 0.254
Y6 0.500 0.235 0.000
Y7 0.500 0.373 0.691
Y8 0.500 0.391 0.229
Se1 0.000 0.242 0.198
Se2 0.000 0.312 0.854
Se3 0.500 0.080 0.865
Se4 0.500 0.378 0.459
```